Entry 1:
Diffraction record for Ho4Sc9In11. The powder diffraction line list is simulated, not measured: it uses a DFT-relaxed cell (GGA-PBE, Alexandria) and Cu Kα.

Atomic structure:
abc: 13.734 13.734 3.273
angles: 90.00 90.00 111.55
Fractional positions:
Ho 0.095 0.257 0.000
Ho 0.257 0.095 0.000
Ho 0.743 0.905 0.000
Ho 0.905 0.743 0.000
Sc 0.000 0.000 0.000
Sc 0.111 0.670 0.000
Sc 0.300 0.495 0.000
Sc 0.330 0.889 0.000
Sc 0.495 0.300 0.000
Sc 0.505 0.700 0.000
Sc 0.670 0.111 0.000
Sc 0.700 0.505 0.000
Sc 0.889 0.330 0.000
In 0.093 0.463 0.500
In 0.121 0.879 0.500
In 0.305 0.305 0.500
In 0.309 0.691 0.500
In 0.463 0.093 0.500
In 0.500 0.500 0.500
In 0.537 0.907 0.500
In 0.691 0.309 0.500
In 0.695 0.695 0.500
In 0.879 0.121 0.500
In 0.907 0.537 0.500

Largest 6 diffraction maxima, by angle, 2θ = 10–80°:
2theta  I (rel.)
20.38  48
32.64  81
35.13  100
35.97  66
36.29  83
40.34  45

Entry 2:
Diffraction record for Ho8ScIn6. The powder diffraction line list is simulated, not measured: it uses a DFT-relaxed cell (GGA-PBE, Alexandria) and Cu Kα.

Atomic structure:
abc: 8.255 8.255 8.255
angles: 65.33 65.33 65.33
Fractional positions:
Ho 0.049 0.723 0.388
Ho 0.166 0.166 0.166
Ho 0.277 0.612 0.951
Ho 0.388 0.049 0.723
Ho 0.612 0.951 0.277
Ho 0.723 0.388 0.049
Ho 0.834 0.834 0.834
Ho 0.951 0.277 0.612
Sc 0.500 0.500 0.500
In 0.117 0.442 0.766
In 0.234 0.883 0.558
In 0.442 0.766 0.117
In 0.558 0.234 0.883
In 0.766 0.117 0.442
In 0.883 0.558 0.234

Largest 6 diffraction maxima, by angle, 2θ = 10–80°:
2theta  I (rel.)
19.93  19
24.27  28
34.31  100
34.88  91
49.73  35
62.18  35